[1]
For Ac3Pr5Nd, DFT lattice parameters and positions (GGA-PBE) gives the theoretical X-ray diffraction stick pattern in this record (Cu Kα X-rays).

a b c (Å): 10.5088 10.5088 10.5088
angles (deg): 127.66 127.66 77.18
Atoms (fractional coordinates):
Ac1 0.1268 0.6268 0.7537
Ac2 0.2500 0.2500 0.0000
Ac3 0.3732 0.1268 0.5000
Ac4 0.6268 0.8732 0.5000
Ac5 0.7500 0.7500 0.0000
Ac6 0.8732 0.3732 0.2463
Pr1 0.0000 0.0000 0.0000
Pr2 0.0577 0.1584 0.5000
Pr3 0.1584 0.6584 0.1007
Pr4 0.3416 0.4423 0.5000
Pr5 0.4423 0.9423 0.1007
Pr6 0.5000 0.5000 0.0000
Pr7 0.5577 0.0577 0.8993
Pr8 0.6584 0.5577 0.5000
Pr9 0.8416 0.3416 0.8993
Pr10 0.9423 0.8416 0.5000
Nd1 0.2500 0.7500 0.5000
Nd2 0.7500 0.2500 0.5000

Principal peaks in the range 2θ from 10° to 80°, by intensity:
| 2θ/deg | Rel. int. |
| --- | --- |
| 26.98 | 100 |
| 29.05 | 96 |
| 27.21 | 52 |
| 30.49 | 35 |
| 40.46 | 32 |
| 35.34 | 25 |
| 49.24 | 22 |
| 34.84 | 22 |
| 43.51 | 17 |
| 44.10 | 16 |



[2]
For Ac5Pr3Nd2, DFT lattice parameters and positions (GGA-PBE) gives the theoretical X-ray diffraction stick pattern in this record (Cu Kα X-rays).

a b c (Å): 6.6718 6.6718 12.1366
angles (deg): 90.25 90.25 48.30
Atoms (fractional coordinates):
Ac1 0.0000 0.0000 0.0000
Ac2 0.1967 0.1967 0.4007
Ac3 0.3023 0.3023 0.1030
Ac4 0.6977 0.6977 0.8970
Ac5 0.8033 0.8033 0.5993
Pr1 0.0988 0.0988 0.6989
Pr2 0.5000 0.5000 0.5000
Pr3 0.9012 0.9012 0.3011
Nd1 0.3992 0.3992 0.7956
Nd2 0.6008 0.6008 0.2044

Principal peaks in the range 2θ from 10° to 80°, by intensity:
| 2θ/deg | Rel. int. |
| --- | --- |
| 28.40 | 100 |
| 32.83 | 34 |
| 55.93 | 31 |
| 47.28 | 25 |
| 33.05 | 17 |
| 56.21 | 15 |
| 58.75 | 13 |
| 47.12 | 13 |
| 76.07 | 6 |
| 76.29 | 6 |



[3]
For Ac3PrNd, DFT lattice parameters and positions (GGA-PBE) gives the theoretical X-ray diffraction stick pattern in this record (Cu Kα X-rays).

a b c (Å): 10.2333 10.2333 10.9261
angles (deg): 104.97 104.97 21.94
Atoms (fractional coordinates):
Ac1 0.0014 0.0014 0.2395
Ac2 0.2008 0.2008 0.8488
Ac3 0.3982 0.3982 0.4542
Ac4 0.6018 0.6018 0.5458
Ac5 0.7992 0.7992 0.1512
Ac6 0.9986 0.9986 0.7605
Pr1 0.3970 0.3970 0.9460
Pr2 0.6030 0.6030 0.0540
Nd1 0.2006 0.2006 0.3501
Nd2 0.7994 0.7994 0.6499

Principal peaks in the range 2θ from 10° to 80°, by intensity:
| 2θ/deg | Rel. int. |
| --- | --- |
| 28.13 | 100 |
| 32.59 | 46 |
| 28.35 | 32 |
| 46.71 | 25 |
| 32.79 | 22 |
| 55.39 | 21 |
| 55.72 | 20 |
| 47.06 | 17 |
| 55.51 | 15 |
| 58.16 | 13 |



[4]
For Ac3Pr8Nd, DFT lattice parameters and positions (GGA-PBE) gives the theoretical X-ray diffraction stick pattern in this record (Cu Kα X-rays).

a b c (Å): 9.3705 9.3705 9.3705
angles (deg): 137.66 118.79 77.24
Atoms (fractional coordinates):
Ac1 0.0000 0.0000 0.0000
Ac2 0.1294 0.6294 0.5000
Ac3 0.8706 0.3706 0.5000
Pr1 0.1430 0.4314 0.9916
Pr2 0.2396 0.0258 0.4702
Pr3 0.4398 0.1514 0.0084
Pr4 0.4443 0.9742 0.2138
Pr5 0.5557 0.7695 0.5298
Pr6 0.5602 0.5686 0.7116
Pr7 0.7604 0.2305 0.7862
Pr8 0.8570 0.8486 0.2884
Nd1 0.5000 0.5000 0.0000

Principal peaks in the range 2θ from 10° to 80°, by intensity:
| 2θ/deg | Rel. int. |
| --- | --- |
| 29.29 | 100 |
| 28.68 | 60 |
| 55.96 | 25 |
| 33.45 | 22 |
| 34.74 | 22 |
| 51.16 | 17 |
| 33.62 | 16 |
| 48.34 | 15 |
| 32.44 | 14 |
| 40.42 | 13 |



[5]
For Ac7Pr2Nd, DFT lattice parameters and positions (GGA-PBE) gives the theoretical X-ray diffraction stick pattern in this record (Cu Kα X-rays).

a b c (Å): 9.7112 9.7112 6.0916
angles (deg): 90.00 90.00 117.09
Atoms (fractional coordinates):
Ac1 0.0000 0.0000 0.0000
Ac2 0.1925 0.4363 0.0000
Ac3 0.2566 0.7434 0.5000
Ac4 0.4363 0.1925 0.0000
Ac5 0.5637 0.8075 0.0000
Ac6 0.7434 0.2566 0.5000
Ac7 0.8075 0.5637 0.0000
Pr1 0.2007 0.7993 0.0000
Pr2 0.7993 0.2007 0.0000
Nd1 0.5000 0.5000 0.5000

Principal peaks in the range 2θ from 10° to 80°, by intensity:
| 2θ/deg | Rel. int. |
| --- | --- |
| 27.82 | 100 |
| 30.74 | 79 |
| 29.32 | 76 |
| 40.86 | 73 |
| 26.01 | 69 |
| 14.54 | 65 |
| 31.99 | 64 |
| 22.83 | 34 |
| 26.93 | 26 |
| 49.87 | 25 |



[6]
For AcPr2Nd5, DFT lattice parameters and positions (GGA-PBE) gives the theoretical X-ray diffraction stick pattern in this record (Cu Kα X-rays).

a b c (Å): 7.4440 14.8988 5.2828
angles (deg): 90.00 90.00 90.00
Atoms (fractional coordinates):
Ac1 0.0000 0.0000 0.0000
Ac2 0.5000 0.5000 0.0000
Pr1 0.2477 0.3727 0.5000
Pr2 0.2523 0.8727 0.5000
Pr3 0.7477 0.1273 0.5000
Pr4 0.7523 0.6273 0.5000
Nd1 0.9996 0.2527 0.0000
Nd2 0.0000 0.5000 0.0000
Nd3 0.0004 0.7473 0.0000
Nd4 0.2483 0.6271 0.5000
Nd5 0.2517 0.1271 0.5000
Nd6 0.5000 0.0000 0.0000
Nd7 0.4996 0.2473 0.0000
Nd8 0.5004 0.7527 0.0000
Nd9 0.7483 0.8729 0.5000
Nd10 0.7517 0.3729 0.5000

Principal peaks in the range 2θ from 10° to 80°, by intensity:
| 2θ/deg | Rel. int. |
| --- | --- |
| 29.35 | 100 |
| 34.05 | 34 |
| 48.85 | 31 |
| 58.08 | 29 |
| 33.94 | 17 |
| 57.93 | 15 |
| 60.88 | 13 |
| 79.17 | 12 |
| 48.94 | 6 |
| 79.30 | 6 |



[7]
For Ac2Pr5Nd6, DFT lattice parameters and positions (GGA-PBE) gives the theoretical X-ray diffraction stick pattern in this record (Cu Kα X-rays).

a b c (Å): 12.2628 21.2289 3.7435
angles (deg): 90.00 90.00 90.00
Atoms (fractional coordinates):
Ac1 0.1703 0.2211 0.0000
Ac2 0.3297 0.7211 0.0000
Ac3 0.6703 0.2789 0.0000
Ac4 0.8297 0.7789 0.0000
Pr1 0.0000 0.5000 0.5000
Pr2 0.0884 0.7831 0.5000
Pr3 0.2026 0.0552 0.5000
Pr4 0.2974 0.5552 0.5000
Pr5 0.4116 0.2831 0.5000
Pr6 0.5000 0.0000 0.5000
Pr7 0.5884 0.7169 0.5000
Pr8 0.7026 0.4448 0.5000
Pr9 0.7974 0.9448 0.5000
Pr10 0.9116 0.2169 0.5000
Nd1 0.0601 0.9256 0.0000
Nd2 0.0711 0.6377 0.0000
Nd3 0.1845 0.3777 0.5000
Nd4 0.3155 0.8777 0.5000
Nd5 0.4289 0.1377 0.0000
Nd6 0.4399 0.4256 0.0000
Nd7 0.5601 0.5744 0.0000
Nd8 0.5711 0.8623 0.0000
Nd9 0.6845 0.1223 0.5000
Nd10 0.8155 0.6223 0.5000
Nd11 0.9289 0.3623 0.0000
Nd12 0.9399 0.0744 0.0000

Principal peaks in the range 2θ from 10° to 80°, by intensity:
| 2θ/deg | Rel. int. |
| --- | --- |
| 30.70 | 100 |
| 30.36 | 97 |
| 29.44 | 68 |
| 30.11 | 47 |
| 32.72 | 43 |
| 34.89 | 31 |
| 58.43 | 31 |
| 26.24 | 30 |
| 33.50 | 26 |
| 53.95 | 25 |



[8]
For AcPr2NdSm2, DFT lattice parameters and positions (GGA-PBE) gives the theoretical X-ray diffraction stick pattern in this record (Cu Kα X-rays).

a b c (Å): 6.7457 18.7426 3.5480
angles (deg): 90.00 90.00 90.00
Atoms (fractional coordinates):
Ac1 0.0000 0.0000 0.0000
Ac2 0.5000 0.5000 0.5000
Pr1 0.1997 0.1892 0.0000
Pr2 0.3003 0.6892 0.5000
Pr3 0.6997 0.3108 0.5000
Pr4 0.8003 0.8108 0.0000
Nd1 0.0000 0.5000 0.0000
Nd2 0.5000 0.0000 0.5000
Sm1 0.1942 0.3513 0.5000
Sm2 0.3058 0.8513 0.0000
Sm3 0.6942 0.1487 0.0000
Sm4 0.8058 0.6487 0.5000

Principal peaks in the range 2θ from 10° to 80°, by intensity:
| 2θ/deg | Rel. int. |
| --- | --- |
| 28.12 | 100 |
| 28.58 | 83 |
| 34.38 | 68 |
| 28.94 | 57 |
| 39.59 | 57 |
| 32.71 | 56 |
| 30.01 | 52 |
| 25.55 | 46 |
| 28.42 | 33 |
| 40.75 | 33 |



[9]
For AcPr2NdSm, DFT lattice parameters and positions (GGA-PBE) gives the theoretical X-ray diffraction stick pattern in this record (Cu Kα X-rays).

a b c (Å): 7.5078 7.5078 7.4673
angles (deg): 90.00 90.00 111.51
Atoms (fractional coordinates):
Ac1 0.2407 0.7593 0.7500
Ac2 0.7593 0.2407 0.2500
Pr1 0.3037 0.3037 0.0000
Pr2 0.3037 0.3037 0.5000
Pr3 0.6963 0.6963 0.0000
Pr4 0.6963 0.6963 0.5000
Nd1 0.0578 0.9422 0.2500
Nd2 0.9422 0.0578 0.7500
Sm1 0.3042 0.6958 0.2500
Sm2 0.6958 0.3042 0.7500

Principal peaks in the range 2θ from 10° to 80°, by intensity:
| 2θ/deg | Rel. int. |
| --- | --- |
| 31.99 | 100 |
| 27.89 | 69 |
| 25.50 | 66 |
| 26.80 | 41 |
| 43.56 | 37 |
| 28.77 | 36 |
| 37.94 | 27 |
| 31.21 | 23 |
| 21.03 | 22 |
| 27.08 | 21 |



[10]
For AcPrNd2Sm2, DFT lattice parameters and positions (GGA-PBE) gives the theoretical X-ray diffraction stick pattern in this record (Cu Kα X-rays).

a b c (Å): 6.7637 18.6359 3.5361
angles (deg): 90.00 90.00 90.00
Atoms (fractional coordinates):
Ac1 0.0000 0.0000 0.0000
Ac2 0.5000 0.5000 0.5000
Pr1 0.0000 0.5000 0.0000
Pr2 0.5000 0.0000 0.5000
Nd1 0.2059 0.1875 0.0000
Nd2 0.2941 0.6875 0.5000
Nd3 0.7059 0.3125 0.5000
Nd4 0.7941 0.8125 0.0000
Sm1 0.2001 0.3492 0.5000
Sm2 0.2999 0.8492 0.0000
Sm3 0.7001 0.1508 0.0000
Sm4 0.7999 0.6508 0.5000

Principal peaks in the range 2θ from 10° to 80°, by intensity:
| 2θ/deg | Rel. int. |
| --- | --- |
| 28.07 | 100 |
| 28.74 | 83 |
| 39.63 | 61 |
| 34.49 | 59 |
| 29.06 | 55 |
| 32.72 | 55 |
| 30.09 | 50 |
| 25.64 | 44 |
| 28.48 | 31 |
| 40.93 | 30 |



[11]
For AcTb2PrNd, DFT lattice parameters and positions (GGA-PBE) gives the theoretical X-ray diffraction stick pattern in this record (Cu Kα X-rays).

a b c (Å): 7.4020 7.4020 7.3588
angles (deg): 90.00 90.00 109.19
Atoms (fractional coordinates):
Ac1 0.2386 0.7614 0.7500
Ac2 0.7614 0.2386 0.2500
Tb1 0.1873 0.1873 0.0000
Tb2 0.1873 0.1873 0.5000
Tb3 0.8127 0.8127 0.0000
Tb4 0.8127 0.8127 0.5000
Pr1 0.4815 0.5185 0.2500
Pr2 0.5185 0.4815 0.7500
Nd1 0.2143 0.7857 0.2500
Nd2 0.7857 0.2143 0.7500

Principal peaks in the range 2θ from 10° to 80°, by intensity:
| 2θ/deg | Rel. int. |
| --- | --- |
| 32.05 | 100 |
| 28.41 | 69 |
| 44.20 | 65 |
| 29.61 | 62 |
| 25.48 | 61 |
| 34.66 | 46 |
| 27.37 | 38 |
| 38.64 | 36 |
| 32.18 | 27 |
| 60.28 | 22 |



[12]
For AcTbPr4Nd2, DFT lattice parameters and positions (GGA-PBE) gives the theoretical X-ray diffraction stick pattern in this record (Cu Kα X-rays).

a b c (Å): 5.2495 5.2723 10.5367
angles (deg): 90.00 90.05 90.00
Atoms (fractional coordinates):
Ac1 0.0000 0.0000 0.0000
Tb1 0.5000 0.5000 0.5000
Pr1 0.0001 0.5000 0.2574
Pr2 0.9999 0.5000 0.7426
Pr3 0.5002 0.0000 0.2574
Pr4 0.4998 0.0000 0.7426
Nd1 0.0000 0.0000 0.5000
Nd2 0.5000 0.5000 0.0000

Principal peaks in the range 2θ from 10° to 80°, by intensity:
| 2θ/deg | Rel. int. |
| --- | --- |
| 29.39 | 100 |
| 34.02 | 34 |
| 48.93 | 31 |
| 58.07 | 29 |
| 34.16 | 17 |
| 58.25 | 15 |
| 60.98 | 13 |
| 79.40 | 12 |
| 49.02 | 6 |
| 79.25 | 6 |



[13]
For AcTbPr5Nd2, DFT lattice parameters and positions (GGA-PBE) gives the theoretical X-ray diffraction stick pattern in this record (Cu Kα X-rays).

a b c (Å): 10.2666 10.2666 10.2666
angles (deg): 127.33 127.33 77.71
Atoms (fractional coordinates):
Ac1 0.2500 0.2500 0.0000
Ac2 0.7500 0.7500 0.0000
Tb1 0.2500 0.7500 0.5000
Tb2 0.7500 0.2500 0.5000
Pr1 0.0000 0.0000 0.0000
Pr2 0.0702 0.5702 0.9086
Pr3 0.1616 0.0702 0.5000
Pr4 0.3384 0.8384 0.9086
Pr5 0.4298 0.3384 0.5000
Pr6 0.5000 0.5000 0.0000
Pr7 0.5702 0.6616 0.5000
Pr8 0.6616 0.1616 0.0914
Pr9 0.8384 0.9298 0.5000
Pr10 0.9298 0.4298 0.0914
Nd1 0.1165 0.3835 0.5000
Nd2 0.3835 0.8835 0.2670
Nd3 0.6165 0.1165 0.7330
Nd4 0.8835 0.6165 0.5000

Principal peaks in the range 2θ from 10° to 80°, by intensity:
| 2θ/deg | Rel. int. |
| --- | --- |
| 29.74 | 100 |
| 27.70 | 50 |
| 27.56 | 45 |
| 41.24 | 23 |
| 50.27 | 23 |
| 31.05 | 18 |
| 35.99 | 16 |
| 54.00 | 14 |
| 35.69 | 13 |
| 45.37 | 13 |